No. 1
This entry pairs a crystal structure of Ta4TlS8 with its calculated powder diffractogram. Radiation: Cu Kα X-rays. Structure: a DFT-relaxed cell (PBE, Alexandria).
No peak broadening, texture or thermal motion is included.

Main lines, low angle first (2θ = 10–80°):
15.0°, I = 48; 17.3°, I = 50; 24.6°, I = 25; 28.9°, I = 100; 30.2°, I = 29; 35.0°, I = 35; 38.3°, I = 34; 43.2°, I = 32; 46.0°, I = 81; 50.4°, I = 52

Structure:
```
Ta4TlS8
1.0
0.0000 5.1248 5.1248
5.1248 0.0000 5.1248
5.1248 5.1248 0.0000
Ta Tl S
4 1 8
direct
0.1045 0.1045 0.1045
0.1045 0.1045 0.6865
0.1045 0.6865 0.1045
0.6865 0.1045 0.1045
0.5000 0.5000 0.5000
0.3566 0.3566 0.3566
0.3566 0.3566 0.9303
0.3566 0.9303 0.3566
0.3894 0.8702 0.8702
0.8702 0.3894 0.8702
0.8702 0.8702 0.3894
0.8702 0.8702 0.8702
0.9303 0.3566 0.3566
```

No. 2
This entry pairs a crystal structure of LiCd3Au6 with its calculated powder diffractogram. Radiation: Cu Kα X-rays. Structure: a DFT-relaxed cell (PBE, Alexandria).
No peak broadening, texture or thermal motion is included.

Main lines, low angle first (2θ = 10–80°):
19.9°, I = 36; 32.8°, I = 68; 34.2°, I = 39; 35.0°, I = 45; 37.0°, I = 100; 38.6°, I = 82; 39.1°, I = 91; 40.4°, I = 44; 43.5°, I = 46; 47.5°, I = 36

Structure:
```
LiCd3Au6
1.0
4.8566 -7.6574 0.0000
4.8566 7.6574 0.0000
0.0000 0.0000 5.3248
Li Cd Au
2 6 12
direct
0.1598 0.8402 0.5000
0.8402 0.1598 0.0000
0.0808 0.2997 0.5684
0.2997 0.0808 0.0684
0.3735 0.6265 0.4064
0.6265 0.3735 0.9064
0.7003 0.9192 0.5684
0.9192 0.7003 0.0684
0.0014 0.9986 0.8105
0.0426 0.4658 0.1466
0.2740 0.7260 0.8694
0.3072 0.3956 0.9788
0.3956 0.3072 0.4788
0.4658 0.0426 0.6466
0.5342 0.9574 0.1466
0.6044 0.6928 0.9788
0.6928 0.6044 0.4788
0.7260 0.2740 0.3694
0.9574 0.5342 0.6466
0.9986 0.0014 0.3105
```